# 1
Starting from the GGA-PBE geometry in Alexandria, the powder XRD pattern of CsMg was calculated for Cu Kα.
Neutral-atom scattering factors, no anomalous dispersion.

Largest 10 diffraction maxima, low angle first, 10 to 80 degrees two-theta:
| h k l | 2θ (°) | I/Imax |
| --- | --- | --- |
| 0 0 2 | 15.3 | 61 |
| 0 1 1 | 21.3 | 100 |
| 1 0 1 | 22.0 | 93 |
| 0 0 3 | 23.1 | 37 |
| 0 1 -2 | 25.2 | 32 |
| 1 1 0 | 28.8 | 83 |
| 0 1 3 | 30.6 | 34 |
| 1 0 3 | 31.1 | 33 |
| 1 1 2 | 32.8 | 39 |
| 1 1 -3 | 37.2 | 32 |

Cell lengths 4.3029, 4.4611, 11.5681 Å; angles 89.97, 89.83, 89.92 degrees
Space group P1 (No. 1)
One atom of each set of equivalent atoms:
Cs1 0.0000 0.0000 0.0000 x1
Cs2 0.4948 0.4982 0.5865 x1
Mg1 0.4945 0.4945 0.2478 x1
Mg2 0.9938 0.9943 0.3388 x1

---

# 2
Starting from the GGA-PBE geometry in Alexandria, the powder XRD pattern of Cs2Ac2Te2Se was calculated for Cu Kα.
Neutral-atom scattering factors, no anomalous dispersion.

Largest 10 diffraction maxima, low angle first, 10 to 80 degrees two-theta:
| h k l | 2θ (°) | I/Imax |
| --- | --- | --- |
| 1 1 2 | 23.1 | 87 |
| 1 0 5 | 27.7 | 76 |
| 1 1 4 | 28.2 | 70 |
| 2 0 0 | 30.0 | 100 |
| 2 0 2 | 31.5 | 25 |
| 2 1 5 | 41.3 | 51 |
| 2 2 0 | 42.9 | 38 |
| 3 1 2 | 49.3 | 24 |
| 3 1 4 | 52.2 | 26 |
| 2 0 10 | 57.2 | 28 |

Cell lengths 5.9567, 5.9567, 19.1435 Å; angles 90.00, 90.00, 90.00 degrees
Space group I4/mmm (No. 139)
One atom of each set of equivalent atoms:
Cs1 0.0000 0.0000 0.1899 x4
Ac1 0.0000 0.5000 0.0000 x4
Te1 0.0000 0.0000 0.3940 x4
Se1 0.0000 0.0000 0.0000 x2

---

# 3
Starting from the GGA-PBE geometry in Alexandria, the powder XRD pattern of PmBe4Rh was calculated for Cu Kα.
Neutral-atom scattering factors, no anomalous dispersion.

Largest 10 diffraction maxima, low angle first, 10 to 80 degrees two-theta:
| h k l | 2θ (°) | I/Imax |
| --- | --- | --- |
| 1 1 1 | 22.9 | 100 |
| 2 0 0 | 26.5 | 3 |
| 2 2 0 | 37.8 | 93 |
| 3 1 1 | 44.7 | 67 |
| 2 2 2 | 46.8 | 1 |
| 4 0 0 | 54.5 | 13 |
| 3 3 1 | 59.9 | 22 |
| 4 2 0 | 61.6 | 1 |
| 4 2 2 | 68.3 | 32 |
| 5 1 1 | 73.1 | 21 |

Cell lengths 6.7297, 6.7297, 6.7297 Å; angles 90.00, 90.00, 90.00 degrees
Space group F-43m (No. 216)
One atom of each set of equivalent atoms:
Pm1 0.0000 0.0000 0.0000 x4
Be1 0.1202 0.1202 0.6202 x16
Rh1 0.2500 0.2500 0.2500 x4

---

# 4
Starting from the GGA-PBE geometry in Alexandria, the powder XRD pattern of Ba2PaTeO6 was calculated for Cu Kα.
Neutral-atom scattering factors, no anomalous dispersion.

Largest 10 diffraction maxima, low angle first, 10 to 80 degrees two-theta:
| h k l | 2θ (°) | I/Imax |
| --- | --- | --- |
| 1 0 1 | 22.3 | 12 |
| 1 1 0 | 28.1 | 54 |
| 1 0 2 | 28.5 | 100 |
| 2 0 0 | 40.2 | 31 |
| 0 0 4 | 41.2 | 13 |
| 2 1 2 | 50.0 | 43 |
| 1 1 4 | 50.6 | 18 |
| 2 2 0 | 58.2 | 10 |
| 2 0 4 | 58.9 | 17 |
| 3 1 0 | 65.8 | 10 |

Cell lengths 4.4867, 4.4867, 8.7715 Å; angles 90.00, 90.00, 90.00 degrees
Space group P4/mmm (No. 123)
One atom of each set of equivalent atoms:
Ba1 0.0000 0.0000 0.2244 x2
Pa1 0.5000 0.5000 0.5000 x1
Te1 0.5000 0.5000 0.0000 x1
O1 0.0000 0.5000 0.0000 x2
O2 0.0000 0.5000 0.5000 x2
O3 0.5000 0.5000 0.2525 x2